# PmDy12Sc2
Theoretical X-ray diffraction stick pattern, CuKα. Input: a cell relaxed with PBE.
Intensities are scaled so that the largest is 100.

Cell and atoms:
```
data_PmDy12Sc2
_cell_length_a 3.557
_cell_length_b 4.824
_cell_length_c 27.623
_cell_angle_alpha 90.00
_cell_angle_beta 93.69
_cell_angle_gamma 90.00
_space_group_name_H-M_alt 'P 1 2/m 1'
_space_group_IT_number 10
_space_group_name_Hall '-P 2y'
loop_
_atom_site_label
_atom_site_fract_x
_atom_site_fract_y
_atom_site_fract_z
Pm1 0.000 0.000 0.000
Dy1 0.064 0.000 0.132
Dy2 0.189 0.000 0.382
Dy3 0.277 0.500 0.553
Dy4 0.343 0.500 0.679
Dy5 0.404 0.500 0.803
Dy6 0.467 0.500 0.933
Sc1 0.126 0.000 0.259
```

Largest 10 diffraction maxima, in order of falling intensity, 10 to 90 degrees two-theta:
2theta	d_spacing	I_rel	index
31.3	2.859	100	1 1 0
31.9	2.804	95	0 1 8
35.1	2.556	64	1 0 -8
52.1	1.754	41	1 2 -8
37.3	2.412	36	0 2 0
61.4	1.511	31	1 1 15
61.8	1.502	29	2 1 7
51.4	1.779	14	2 0 -1
63.5	1.465	14	1 3 0
65.2	1.432	14	2 2 -1